DyPaFe4: simulated PXRD pattern (Cu Kα, 1.54184 Å), based on a crystal structure in Alexandria, relaxed with PBE.
Intensities are scaled so that the largest is 100.

Top 6 peaks for 2θ = 5–70°, in order of rising 2θ:
Position (°2θ), I_rel
21.3, 29
35.2, 76
41.5, 100
43.5, 11
63.2, 29
67.5, 31

Cell and atoms:
```
DyPaFe4
1.0
0.0000 3.6062 3.6062
3.6062 0.0000 3.6062
3.6062 3.6062 0.0000
Dy Pa Fe
1 1 4
Cartesian
0.0000 0.0000 0.0000
5.4094 5.4094 5.4094
2.7085 2.7085 2.7085
4.5040 4.5040 2.7085
4.5040 2.7085 4.5040
2.7085 4.5040 4.5040
```